This entry pairs a crystal structure of Sr2La2MnCuO8 with its simulated powder diffraction line list. Radiation: λ = 1.5418 Å (Cu Kα). Structure: the GGA+U geometry in Alexandria.

Most intense lines, 2θ from 15° to 90°, in order of rising 2θ:
hkl	2theta	I_rel
1 0 1	24.0	14.2
1 0 3	31.3	100.0
1 1 0	32.6	70.7
1 0 5	42.5	16.5
0 0 6	42.7	12.6
1 1 4	43.6	26.7
2 0 0	46.8	37.1
1 1 6	54.7	13.7
2 1 3	57.3	36.4
2 0 6	65.2	12.7

Atomic structure:
```
Sr2La2MnCuO8
1.0
3.883 0.000 0.000
0.000 3.883 0.000
0.000 0.000 12.707
Sr La Mn Cu O
2 2 1 1 8
Direct
0.000 0.000 0.141
0.000 0.000 0.859
0.500 0.500 0.359
0.500 0.500 0.641
0.500 0.500 0.000
0.000 0.000 0.500
0.000 0.000 0.339
0.000 0.000 0.661
0.000 0.500 0.000
0.000 0.500 0.500
0.500 0.000 0.000
0.500 0.000 0.500
0.500 0.500 0.182
0.500 0.500 0.818
```